Record 1
Diffraction record for MgNb4N4O4. The PXRD pattern is calculated, not measured: it uses a cell relaxed with PBE and Cu Kα (λ = 1.5418 Å).
Neutral-atom scattering factors, no anomalous dispersion.

Atomic structure:
a = 12.667 Å, b = 4.200 Å, c = 6.856 Å
α = 90.00°, β = 108.02°, γ = 90.00°
Space group Cm (No. 8)
Symmetry-distinct sites (fractional):
1 Mg 0.000 0.000 0.000 x2
2 Nb 0.173 0.500 0.088 x2
3 Nb 0.248 0.500 0.685 x2
4 Nb 0.338 0.000 0.022 x2
5 Nb 0.440 0.000 0.632 x2
6 N 0.000 0.500 0.018 x2
7 N 0.108 0.500 0.723 x2
8 N 0.286 0.000 0.700 x2
9 N 0.334 0.500 0.021 x2
10 O 0.170 0.000 0.066 x2
11 O 0.212 0.500 0.372 x2
12 O 0.399 0.000 0.352 x2
13 O 0.435 0.500 0.683 x2

Most intense lines, 5 to 70 degrees two-theta, most intense first:
- d 2.903, 30.80 deg, intensity 100
- d 6.520, 13.58 deg, intensity 85
- d 2.457, 36.58 deg, intensity 84
- d 3.966, 22.42 deg, intensity 83
- d 2.656, 33.74 deg, intensity 71
- d 3.260, 27.36 deg, intensity 64
- d 6.023, 14.71 deg, intensity 57
- d 2.100, 43.07 deg, intensity 55
- d 2.111, 42.84 deg, intensity 44
- d 2.173, 41.55 deg, intensity 35

Record 2
Diffraction record for KNaEuTaO5. The PXRD pattern is calculated, not measured: it uses a cell relaxed with PBE and Cu Kα (λ = 1.5418 Å).
Neutral-atom scattering factors, no anomalous dispersion.

Atomic structure:
a = 5.763 Å, b = 5.763 Å, c = 8.416 Å
α = 90.00°, β = 90.00°, γ = 90.00°
Space group P4/nmm (No. 129, origin choice 2)
Symmetry-distinct sites (fractional):
1 K 0.250 0.750 0.000 x2
2 Na 0.250 0.250 0.242 x2
3 Eu 0.250 0.750 0.500 x2
4 Ta 0.250 0.250 0.738 x2
5 O 0.020 0.020 0.668 x8
6 O 0.250 0.250 0.960 x2

Most intense lines, 5 to 70 degrees two-theta, most intense first:
- d 2.927, 30.54 deg, intensity 100
- d 4.755, 18.66 deg, intensity 62
- d 2.881, 31.04 deg, intensity 40
- d 8.416, 10.51 deg, intensity 39
- d 1.672, 54.90 deg, intensity 38
- d 2.037, 44.47 deg, intensity 27
- d 1.699, 53.96 deg, intensity 24
- d 2.464, 36.46 deg, intensity 20
- d 3.668, 24.27 deg, intensity 16
- d 1.464, 63.57 deg, intensity 11

Record 3
Diffraction record for TbBi. The PXRD pattern is calculated, not measured: it uses a cell relaxed with PBE and Cu Kα (λ = 1.5418 Å).
Neutral-atom scattering factors, no anomalous dispersion.

Atomic structure:
a = 6.354 Å, b = 6.354 Å, c = 6.354 Å
α = 90.00°, β = 90.00°, γ = 90.00°
Space group Fm-3m (No. 225)
Symmetry-distinct sites (fractional):
1 Tb 0.000 0.000 0.000 x4
2 Bi 0.000 0.000 0.500 x4

Most intense lines, 5 to 70 degrees two-theta, most intense first:
- d 3.177, 28.09 deg, intensity 100
- d 2.246, 40.14 deg, intensity 78
- d 1.421, 65.73 deg, intensity 37
- d 1.834, 49.71 deg, intensity 28
- d 1.588, 58.07 deg, intensity 13
- d 3.668, 24.26 deg, intensity 3
- d 1.916, 47.46 deg, intensity 2
- d 1.458, 63.86 deg, intensity 1

Record 4
Diffraction record for Sr2UCu2S5. The PXRD pattern is calculated, not measured: it uses a cell relaxed with PBE and Cu Kα (λ = 1.5418 Å).
Neutral-atom scattering factors, no anomalous dispersion.

Atomic structure:
a = 13.156 Å, b = 4.000 Å, c = 9.369 Å
α = 90.00°, β = 116.44°, γ = 90.00°
Space group C2/m (No. 12)
Symmetry-distinct sites (fractional):
1 Sr 0.172 0.000 0.203 x4
2 U 0.000 0.000 0.500 x2
3 Cu 0.060 0.500 0.801 x4
4 S 0.000 0.500 0.000 x2
5 S 0.116 0.500 0.431 x4
6 S 0.157 0.000 0.807 x4

Most intense lines, 5 to 70 degrees two-theta, most intense first:
- d 2.772, 32.29 deg, intensity 100
- d 3.277, 27.22 deg, intensity 97
- d 5.890, 15.04 deg, intensity 58
- d 2.435, 36.91 deg, intensity 46
- d 2.797, 32.00 deg, intensity 46
- d 2.955, 30.25 deg, intensity 39
- d 6.323, 14.01 deg, intensity 38
- d 8.389, 10.55 deg, intensity 36
- d 2.421, 37.13 deg, intensity 32
- d 3.036, 29.42 deg, intensity 32

Record 5
Diffraction record for Ni6SbTe2. The PXRD pattern is calculated, not measured: it uses a cell relaxed with PBE and Cu Kα (λ = 1.5418 Å).
Neutral-atom scattering factors, no anomalous dispersion.

Atomic structure:
a = 3.808 Å, b = 3.808 Å, c = 19.242 Å
α = 90.00°, β = 90.00°, γ = 90.00°
Space group I4mm (No. 107)
Symmetry-distinct sites (fractional):
1 Ni 0.000 0.000 0.000 x2
2 Ni 0.000 0.000 0.309 x2
3 Ni 0.000 0.500 0.215 x4
4 Ni 0.000 0.500 0.403 x4
5 Sb 0.000 0.000 0.810 x2
6 Te 0.000 0.000 0.131 x2
7 Te 0.000 0.000 0.494 x2

Most intense lines, 5 to 70 degrees two-theta, most intense first:
- d 2.062, 43.90 deg, intensity 100
- d 1.904, 47.76 deg, intensity 48
- d 3.275, 27.23 deg, intensity 44
- d 2.350, 38.30 deg, intensity 39
- d 9.621, 9.19 deg, intensity 19
- d 1.353, 69.44 deg, intensity 17
- d 1.346, 69.86 deg, intensity 15
- d 1.924, 47.24 deg, intensity 15
- d 2.693, 33.27 deg, intensity 13
- d 1.646, 55.85 deg, intensity 12

Record 6
Diffraction record for In2CuTe3I. The PXRD pattern is calculated, not measured: it uses a cell relaxed with PBE and Cu Kα (λ = 1.5418 Å).
Neutral-atom scattering factors, no anomalous dispersion.

Atomic structure:
a = 6.263 Å, b = 6.267 Å, c = 7.689 Å
α = 66.06°, β = 66.04°, γ = 89.89°
Space group P1 (No. 1)
Symmetry-distinct sites (fractional):
1 In 0.000 0.000 0.000 x1
2 In 0.272 0.727 0.457 x1
3 Cu 0.466 0.462 0.994 x1
4 Te 0.101 0.569 0.235 x1
5 Te 0.412 0.357 0.723 x1
6 Te 0.614 0.150 0.239 x1
7 I 0.849 0.853 0.735 x1

Most intense lines, 5 to 70 degrees two-theta, most intense first:
- d 3.624, 24.57 deg, intensity 100
- d 2.217, 40.71 deg, intensity 44
- d 2.224, 40.56 deg, intensity 23
- d 1.890, 48.14 deg, intensity 16
- d 2.736, 32.73 deg, intensity 14
- d 1.895, 48.01 deg, intensity 10
- d 3.489, 25.53 deg, intensity 9
- d 1.899, 47.90 deg, intensity 8
- d 1.888, 48.20 deg, intensity 7
- d 1.566, 58.97 deg, intensity 6

Record 7
Diffraction record for MgCd. The PXRD pattern is calculated, not measured: it uses a cell relaxed with PBE and Cu Kα (λ = 1.5418 Å).
Neutral-atom scattering factors, no anomalous dispersion.

Atomic structure:
a = 5.936 Å, b = 5.936 Å, c = 5.936 Å
α = 90.00°, β = 90.00°, γ = 90.00°
Space group Fm-3m (No. 225)
Symmetry-distinct sites (fractional):
1 Mg 0.000 0.000 0.000 x4
2 Cd 0.000 0.000 0.500 x4

Most intense lines, 5 to 70 degrees two-theta, most intense first:
- d 2.968, 30.11 deg, intensity 100
- d 3.427, 26.00 deg, intensity 77
- d 2.099, 43.10 deg, intensity 73
- d 1.790, 51.03 deg, intensity 35
- d 1.714, 53.48 deg, intensity 25
- d 1.362, 68.96 deg, intensity 14
- d 1.484, 62.60 deg, intensity 11

Record 8
Diffraction record for La4S3N2. The PXRD pattern is calculated, not measured: it uses a cell relaxed with PBE and Cu Kα (λ = 1.5418 Å).
Neutral-atom scattering factors, no anomalous dispersion.

Atomic structure:
a = 6.644 Å, b = 15.710 Å, c = 4.091 Å
α = 90.00°, β = 90.00°, γ = 90.00°
Space group Pnnm (No. 58)
Symmetry-distinct sites (fractional):
1 La 0.222 0.065 0.000 x4
2 La 0.230 0.844 0.500 x4
3 S 0.000 0.500 0.000 x2
4 S 0.224 0.200 0.500 x4
5 N 0.128 0.916 0.000 x4

Most intense lines, 5 to 70 degrees two-theta, most intense first:
- d 3.322, 26.84 deg, intensity 100
- d 3.381, 26.36 deg, intensity 97
- d 2.900, 30.83 deg, intensity 96
- d 3.401, 26.20 deg, intensity 91
- d 2.313, 38.93 deg, intensity 89
- d 3.224, 27.67 deg, intensity 88
- d 1.692, 54.21 deg, intensity 47
- d 1.967, 46.15 deg, intensity 43
- d 1.931, 47.06 deg, intensity 39
- d 2.045, 44.29 deg, intensity 37

Copy entry 7 word for word.
Diffraction record for MgCd. The PXRD pattern is calculated, not measured: it uses a cell relaxed with PBE and Cu Kα (λ = 1.5418 Å).
Neutral-atom scattering factors, no anomalous dispersion.

Atomic structure:
a = 5.936 Å, b = 5.936 Å, c = 5.936 Å
α = 90.00°, β = 90.00°, γ = 90.00°
Space group Fm-3m (No. 225)
Symmetry-distinct sites (fractional):
1 Mg 0.000 0.000 0.000 x4
2 Cd 0.000 0.000 0.500 x4

Most intense lines, 5 to 70 degrees two-theta, most intense first:
- d 2.968, 30.11 deg, intensity 100
- d 3.427, 26.00 deg, intensity 77
- d 2.099, 43.10 deg, intensity 73
- d 1.790, 51.03 deg, intensity 35
- d 1.714, 53.48 deg, intensity 25
- d 1.362, 68.96 deg, intensity 14
- d 1.484, 62.60 deg, intensity 11